# 1
Theoretical X-ray powder pattern of VCr2Os2 for λ = 1.5418 Å (Cu Kα), from DFT lattice parameters and positions (GGA-PBE).

Crystal structure
a b c (Å): 7.039 7.039 2.775
angles (deg): 90.00 90.00 90.00
Space group P4/mbm (No. 127)
Inequivalent atoms, fractional coordinates:
V (0.000, 0.000, 0.000) x2
Cr (0.141, 0.359, 0.000) x4
Os (0.159, 0.659, 0.500) x4

Largest 8 diffraction maxima, low angle first, 2θ from 5° to 70°:
d = 4.977 Å, I = 18; d = 3.148 Å, I = 48; d = 2.226 Å, I = 44; d = 2.179 Å, I = 14; d = 2.082 Å, I = 100; d = 1.659 Å, I = 15; d = 1.454 Å, I = 17; d = 1.424 Å, I = 13


# 2
Theoretical X-ray powder pattern of Y5Er3S8 for λ = 1.5418 Å (Cu Kα), from DFT lattice parameters and positions (GGA-PBE).

Crystal structure
a b c (Å): 7.7948 7.7948 19.1191
angles (deg): 90.00 90.00 120.00
Space group R-3m (No. 166, hexagonal axes)
Inequivalent atoms, fractional coordinates:
Y (0.0000, 0.0000, 0.0000) x3
Y (0.0000, 0.0000, 0.5000) x3
Y (0.0000, 0.5000, 0.0000) x9
Er (0.0000, 0.5000, 0.5000) x9
S (0.0000, 0.0000, 0.2481) x6
S (0.0025, 0.5013, 0.7513) x18

Largest 8 diffraction maxima, low angle first, 2θ from 5° to 70°:
d = 6.371 Å, I = 11; d = 3.324 Å, I = 7; d = 3.184 Å, I = 61; d = 2.757 Å, I = 100; d = 1.950 Å, I = 71; d = 1.663 Å, I = 29; d = 1.592 Å, I = 24; d = 1.379 Å, I = 11


# 3
Theoretical X-ray powder pattern of TaTl3 for λ = 1.5418 Å (Cu Kα), from DFT lattice parameters and positions (GGA-PBE).

Crystal structure
a b c (Å): 4.230 4.650 10.177
angles (deg): 90.00 90.00 90.00
Space group Cmmm (No. 65)
Inequivalent atoms, fractional coordinates:
Ta (0.000, 0.000, 0.000) x2
Tl (0.000, 0.000, 0.500) x2
Tl (0.000, 0.500, 0.221) x4

Largest 8 diffraction maxima, low angle first, 2θ from 5° to 70°:
d = 2.666 Å, I = 100; d = 2.544 Å, I = 18; d = 2.325 Å, I = 18; d = 2.115 Å, I = 14; d = 1.716 Å, I = 11; d = 1.565 Å, I = 11; d = 1.491 Å, I = 10; d = 1.399 Å, I = 14


# 4
Theoretical X-ray powder pattern of BaHgH for λ = 1.5418 Å (Cu Kα), from DFT lattice parameters and positions (GGA-PBE).

Crystal structure
a b c (Å): 11.218 12.563 7.148
angles (deg): 90.00 90.00 90.00
Space group Ima2 (No. 46)
Inequivalent atoms, fractional coordinates:
Ba (0.012, 0.164, 0.000) x8
Ba (0.250, 0.006, 0.570) x4
Hg (0.250, 0.238, 0.275) x4
Hg (0.250, 0.521, 0.573) x4
Hg (0.250, 0.733, 0.787) x4
H (0.000, 0.000, 0.757) x4
H (0.102, 0.149, 0.357) x8

Largest 8 diffraction maxima, low angle first, 2θ from 5° to 70°:
d = 6.213 Å, I = 22; d = 5.609 Å, I = 49; d = 3.106 Å, I = 40; d = 3.038 Å, I = 24; d = 2.804 Å, I = 41; d = 2.740 Å, I = 54; d = 2.717 Å, I = 100; d = 2.082 Å, I = 27


# 5
Theoretical X-ray powder pattern of Ca3Mg3Cu for λ = 1.5418 Å (Cu Kα), from DFT lattice parameters and positions (GGA-PBE).

Crystal structure
a b c (Å): 10.0721 10.0721 4.5918
angles (deg): 90.00 90.00 120.00
Space group P6_3/mmc (No. 194)
Inequivalent atoms, fractional coordinates:
Ca (0.1651, 0.3301, 0.2500) x6
Mg (0.1290, 0.5645, 0.7500) x6
Cu (0.3333, 0.6667, 0.2500) x2

Largest 8 diffraction maxima, low angle first, 2θ from 5° to 70°:
d = 8.723 Å, I = 38; d = 4.361 Å, I = 20; d = 4.063 Å, I = 26; d = 2.678 Å, I = 100; d = 2.518 Å, I = 37; d = 2.296 Å, I = 21; d = 2.140 Å, I = 23; d = 1.697 Å, I = 20


# 6
Theoretical X-ray powder pattern of MgPaAl2Pt2 for λ = 1.5418 Å (Cu Kα), from DFT lattice parameters and positions (GGA-PBE).

Crystal structure
a b c (Å): 4.3997 4.3997 6.5740
angles (deg): 90.00 90.00 120.00
Space group P-3m1 (No. 164)
Inequivalent atoms, fractional coordinates:
Mg (0.0000, 0.0000, 0.0000) x1
Pa (0.0000, 0.0000, 0.5000) x1
Al (0.3333, 0.6667, 0.1898) x2
Pt (0.3333, 0.6667, 0.7610) x2

Largest 8 diffraction maxima, low angle first, 2θ from 5° to 70°:
d = 6.574 Å, I = 13; d = 3.296 Å, I = 100; d = 2.489 Å, I = 74; d = 2.200 Å, I = 58; d = 1.900 Å, I = 18; d = 1.830 Å, I = 23; d = 1.648 Å, I = 22; d = 1.407 Å, I = 16


# 7
Theoretical X-ray powder pattern of Hf3NbRu4 for λ = 1.5418 Å (Cu Kα), from DFT lattice parameters and positions (GGA-PBE).

Crystal structure
a b c (Å): 3.219 4.562 9.134
angles (deg): 90.00 90.00 90.00
Space group Pmmm (No. 47)
Inequivalent atoms, fractional coordinates:
Hf (0.000, 0.000, 0.000) x1
Hf (0.000, 0.500, 0.253) x2
Nb (0.000, 0.000, 0.500) x1
Ru (0.500, 0.000, 0.253) x2
Ru (0.500, 0.500, 0.000) x1
Ru (0.500, 0.500, 0.500) x1

Largest 8 diffraction maxima, low angle first, 2θ from 5° to 70°:
d = 9.134 Å, I = 2; d = 4.565 Å, I = 1; d = 3.225 Å, I = 5; d = 2.280 Å, I = 100; d = 1.862 Å, I = 2; d = 1.614 Å, I = 11; d = 1.610 Å, I = 6; d = 1.443 Å, I = 1


# 8
Theoretical X-ray powder pattern of Tb5TmPb5 for λ = 1.5418 Å (Cu Kα), from DFT lattice parameters and positions (GGA-PBE).

Crystal structure
a b c (Å): 15.835 6.271 7.360
angles (deg): 90.00 103.51 90.00
Space group C2/m (No. 12)
Inequivalent atoms, fractional coordinates:
Tb (0.000, 0.000, 0.000) x2
Tb (0.163, 0.500, 0.328) x4
Tb (0.164, 0.500, 0.830) x4
Tm (0.000, 0.000, 0.500) x2
Pb (0.000, 0.500, 0.500) x2
Pb (0.166, 0.000, 0.837) x4
Pb (0.167, 0.000, 0.336) x4

Largest 8 diffraction maxima, low angle first, 2θ from 5° to 70°:
d = 3.136 Å, I = 57; d = 2.991 Å, I = 100; d = 2.566 Å, I = 33; d = 2.164 Å, I = 82; d = 1.986 Å, I = 32; d = 1.587 Å, I = 16; d = 1.390 Å, I = 20; d = 1.389 Å, I = 20


# 9
Theoretical X-ray powder pattern of Na3Mn2Br8 for λ = 1.5418 Å (Cu Kα), from DFT lattice parameters and positions (GGA-PBE).

Crystal structure
a b c (Å): 14.058 8.114 7.242
angles (deg): 90.00 108.18 90.00
Space group C2/m (No. 12)
Inequivalent atoms, fractional coordinates:
Na (0.000, 0.000, 0.000) x2
Na (0.000, 0.254, 0.500) x4
Mn (0.246, 0.000, 0.494) x4
Br (0.139, 0.243, 0.274) x8
Br (0.140, 0.000, 0.719) x4
Br (0.143, 0.500, 0.712) x4

Largest 8 diffraction maxima, low angle first, 2θ from 5° to 70°:
d = 6.881 Å, I = 41; d = 3.440 Å, I = 21; d = 3.339 Å, I = 19; d = 3.320 Å, I = 40; d = 2.913 Å, I = 100; d = 2.889 Å, I = 38; d = 2.074 Å, I = 28; d = 2.029 Å, I = 43


# 10
Theoretical X-ray powder pattern of Na2SrLa2Ti5O15 for λ = 1.5418 Å (Cu Kα), from DFT lattice parameters and positions (GGA-PBE).

Crystal structure
a b c (Å): 39.308 5.536 5.553
angles (deg): 90.00 98.06 90.00
Space group C2 (No. 5)
Inequivalent atoms, fractional coordinates:
Na (0.100, 0.000, 0.065) x4
Na (0.201, 0.509, 0.687) x4
Sr (0.000, 0.006, 0.000) x2
Sr (0.000, 0.507, 0.500) x2
La (0.101, 0.507, 0.563) x4
La (0.200, 0.003, 0.185) x4
Ti (0.051, 0.007, 0.535) x4
Ti (0.051, 0.500, 0.031) x4
Ti (0.150, 0.009, 0.627) x4
Ti (0.150, 0.504, 0.125) x4
Ti (0.249, 0.015, 0.747) x4
O (0.000, 0.549, 0.000) x2
O (0.000, 0.967, 0.500) x2
O (0.046, 0.239, 0.815) x4
O (0.047, 0.280, 0.323) x4
O (0.056, 0.728, 0.779) x4
O (0.056, 0.773, 0.292) x4
O (0.101, 0.063, 0.612) x4
O (0.101, 0.454, 0.115) x4
O (0.144, 0.717, 0.862) x4
O (0.145, 0.787, 0.366) x4
O (0.156, 0.220, 0.943) x4
O (0.156, 0.283, 0.440) x4
O (0.200, 0.559, 0.203) x4
O (0.200, 0.948, 0.708) x4
O (0.244, 0.211, 0.459) x4
O (0.245, 0.278, 0.962) x4

Largest 8 diffraction maxima, low angle first, 2θ from 5° to 70°:
d = 4.516 Å, I = 44; d = 2.776 Å, I = 20; d = 2.763 Å, I = 100; d = 2.363 Å, I = 16; d = 1.960 Å, I = 30; d = 1.946 Å, I = 16; d = 1.593 Å, I = 16; d = 1.381 Å, I = 16


# 11
Theoretical X-ray powder pattern of BeCdBIrAu for λ = 1.5418 Å (Cu Kα), from DFT lattice parameters and positions (GGA-PBE).

Crystal structure
a b c (Å): 3.4622 3.4622 7.1033
angles (deg): 90.00 90.00 120.00
Space group P3m1 (No. 156)
Inequivalent atoms, fractional coordinates:
Be (0.0000, 0.0000, 0.0000) x1
Cd (0.0000, 0.0000, 0.4942) x1
B (0.3333, 0.6667, 0.8619) x1
Ir (0.6667, 0.3333, 0.8007) x1
Au (0.6667, 0.3333, 0.2066) x1

Largest 8 diffraction maxima, low angle first, 2θ from 5° to 70°:
d = 2.998 Å, I = 75; d = 2.762 Å, I = 40; d = 2.368 Å, I = 20; d = 2.291 Å, I = 100; d = 1.858 Å, I = 23; d = 1.731 Å, I = 36; d = 1.397 Å, I = 23; d = 1.381 Å, I = 20


# 12
Theoretical X-ray powder pattern of Pm2Ga3Sn3 for λ = 1.5418 Å (Cu Kα), from DFT lattice parameters and positions (GGA-PBE).

Crystal structure
a b c (Å): 4.403 4.515 9.579
angles (deg): 90.00 90.00 90.00
Space group Pmmm (No. 47)
Inequivalent atoms, fractional coordinates:
Pm (0.000, 0.000, 0.244) x2
Ga (0.500, 0.000, 0.000) x1
Ga (0.500, 0.500, 0.232) x2
Sn (0.000, 0.500, 0.000) x1
Sn (0.000, 0.500, 0.500) x1
Sn (0.500, 0.000, 0.500) x1

Largest 8 diffraction maxima, low angle first, 2θ from 5° to 70°:
d = 2.633 Å, I = 100; d = 2.395 Å, I = 19; d = 2.258 Å, I = 16; d = 2.202 Å, I = 15; d = 1.643 Å, I = 12; d = 1.621 Å, I = 11; d = 1.424 Å, I = 14; d = 1.365 Å, I = 13